# TiFeO4
Simulated PXRD pattern, Cu Kα. Input: DFT lattice parameters and positions (PBE+U).
Intensities are scaled so that the largest is 100.

Crystal structure
abc: 3.8123 3.8123 9.6392
angles: 90.00 90.00 90.00
Space group I-4m2 (No. 119)
Symmetry-distinct sites (fractional):
Ti: 0.0000 0.0000 0.0000 x2
Fe: 0.0000 0.5000 0.7500 x2
O: 0.0000 0.0000 0.2066 x4
O: 0.0000 0.5000 0.5453 x4

The 6 most intense peaks (2θ from 10° to 90°), most intense first:
25.1°, 3.545 Å, I = 100, hkl 1 0 1
47.7°, 1.906 Å, I = 28, hkl 2 0 0
37.3°, 2.410 Å, I = 19, hkl 0 0 4
54.7°, 1.679 Å, I = 19, hkl 2 1 1
53.2°, 1.720 Å, I = 19, hkl 1 0 5
62.1°, 1.495 Å, I = 14, hkl 2 0 4